Entry 1:
Simulated powder diffraction line list
Compound: Zn2TePd2
Radiation: Cu Kα X-rays
Structure: a structure optimized by DFT (PBE)
Lines closer than 0.1° are merged.

Cell and atoms:
```
Zn2TePd2
1.0
-1.815 1.815 6.704
1.815 -1.815 6.704
1.815 1.815 -6.704
Zn Te Pd
2 1 2
Cartesian
1.815 0.000 3.352 Zn
0.000 1.815 3.352 Zn
0.000 0.000 0.000 Te
0.000 0.000 5.300 Pd
0.000 0.000 8.108 Pd
```

The 10 most intense peaks (10 to 90 degrees two-theta), most intense first:
d/Å  Position (°2θ)  I/Imax
2.397  37.52  100
2.157  41.88  81
2.818  31.76  66
1.815  50.26  48
1.389  67.43  38
2.038  44.45  26
2.567  34.95  23
1.188  80.89  22
1.526  60.69  20
1.132  85.89  17

Entry 2:
Simulated powder diffraction line list
Compound: ThPd4
Radiation: Cu Kα X-rays
Structure: a structure optimized by DFT (PBE)
Lines closer than 0.1° are merged.

Cell and atoms:
```
ThPd4
1.0
3.917 -2.437 0.000
3.917 2.437 0.000
-2.035 0.000 4.818
Th Pd
1 4
Cartesian
0.000 0.000 0.000 Th
0.351 0.000 2.946 Pd
2.759 0.000 1.061 Pd
3.039 0.000 3.758 Pd
5.446 0.000 1.873 Pd
```

The 10 most intense peaks (10 to 90 degrees two-theta), most intense first:
d/Å  Position (°2θ)  I/Imax
2.289  39.37  100
2.301  39.15  100
2.464  36.46  60
2.437  36.89  60
1.733  52.84  42
1.297  72.97  24
1.384  67.71  22
1.377  68.11  20
1.379  67.96  20
1.392  67.26  19

Entry 3:
Simulated powder diffraction line list
Compound: ThPd4
Radiation: Cu Kα X-rays
Structure: a structure optimized by DFT (PBE)
Lines closer than 0.1° are merged.

Cell and atoms:
```
ThPd4
1.0
-2.181 2.934 7.120
2.181 -2.934 7.120
2.181 2.934 -7.120
Th Pd
2 8
Cartesian
0.000 1.467 1.571 Th
2.181 1.467 5.548 Th
2.181 0.000 0.000 Pd
2.181 -1.467 5.626 Pd
2.181 -0.091 2.768 Pd
2.181 2.844 -2.768 Pd
0.000 0.000 7.120 Pd
0.000 0.091 9.887 Pd
0.000 3.025 4.352 Pd
0.000 4.401 1.493 Pd
```

The 10 most intense peaks (10 to 90 degrees two-theta), most intense first:
d/Å  Position (°2θ)  I/Imax
2.385  37.72  100
2.400  37.48  96
2.264  39.81  42
2.181  41.40  41
1.571  58.78  27
1.250  76.19  24
2.166  41.69  19
1.845  49.39  19
3.142  28.41  16
1.409  66.36  15